Record 1
For TlIr4Rh, a structure optimized by DFT (GGA-PBE) gives the theoretical powder XRD pattern in this record (λ = 1.5418 Å (Cu Kα)).
Lines closer than 0.1° are merged.

Crystal structure
```
data_TlIr4Rh
_symmetry_space_group_name_H-M 'F -4 3 m'
_symmetry_Int_Tables_number 216
_symmetry_space_group_name_Hall 'F -4 2 3'
_cell_length_a 7.401
_cell_length_b 7.401
_cell_length_c 7.401
_cell_angle_alpha 90.00
_cell_angle_beta 90.00
_cell_angle_gamma 90.00
loop_
_atom_site_label
_atom_site_type_symbol
_atom_site_fract_x
_atom_site_fract_y
_atom_site_fract_z
Tl1 Tl 0.000 0.000 0.000
Ir1 Ir 0.125 0.125 0.625
Rh1 Rh 0.250 0.250 0.250
```

Top 10 peaks for 5° ≤ 2θ ≤ 70°, low angle first:
hkl	Position (°2θ)	I/Imax
1 1 1	20.8	15
2 0 0	24.0	2
2 2 0	34.3	20
3 1 1	40.4	100
2 2 2	42.3	48
4 0 0	49.2	8
3 3 1	54.0	4
4 2 0	55.5	1
4 2 2	61.4	8
5 1 1	65.5	33

Record 2
For Tm6IrRh3, a structure optimized by DFT (GGA-PBE) gives the theoretical powder XRD pattern in this record (λ = 1.5418 Å (Cu Kα)).
Lines closer than 0.1° are merged.

Crystal structure
```
data_Tm6IrRh3
_symmetry_space_group_name_H-M 'P n n m'
_symmetry_Int_Tables_number 58
_symmetry_space_group_name_Hall '-P 2 2n'
_cell_length_a 8.156
_cell_length_b 11.730
_cell_length_c 4.694
_cell_angle_alpha 90.00
_cell_angle_beta 90.00
_cell_angle_gamma 90.00
loop_
_atom_site_label
_atom_site_type_symbol
_atom_site_fract_x
_atom_site_fract_y
_atom_site_fract_z
Tm1 Tm 0.001 0.247 0.000
Tm2 Tm 0.163 0.413 0.500
Tm3 Tm 0.170 0.082 0.500
Ir1 Ir 0.000 0.500 0.000
Rh1 Rh 0.000 0.000 0.000
Rh2 Rh 0.165 0.836 0.500
```

Top 12 peaks for 5° ≤ 2θ ≤ 70°, low angle first:
hkl	Position (°2θ)	I/Imax
2 0 0	21.8	7
1 3 1	31.7	47
1 4 1	37.8	68
3 0 1	38.3	100
2 5 0	44.6	12
2 3 2	50.6	8
4 4 0	54.9	23
4 3 2	65.1	8
2 8 0	68.0	11
4 4 2	68.9	16
6 0 0	69.0	14
3 0 3	69.3	12

Record 3
For Tm8Ir2Rh, a structure optimized by DFT (GGA-PBE) gives the theoretical powder XRD pattern in this record (λ = 1.5418 Å (Cu Kα)).
Lines closer than 0.1° are merged.

Crystal structure
```
data_Tm8Ir2Rh
_symmetry_space_group_name_H-M 'C 1 m 1'
_symmetry_Int_Tables_number 8
_symmetry_space_group_name_Hall 'C -2y'
_cell_length_a 8.331
_cell_length_b 12.362
_cell_length_c 5.740
_cell_angle_alpha 90.00
_cell_angle_beta 108.20
_cell_angle_gamma 90.00
loop_
_atom_site_label
_atom_site_type_symbol
_atom_site_fract_x
_atom_site_fract_y
_atom_site_fract_z
Tm1 Tm 0.000 0.000 0.000
Tm2 Tm 0.068 0.371 0.777
Tm3 Tm 0.160 0.129 0.584
Tm4 Tm 0.223 0.500 0.370
Tm5 Tm 0.361 0.218 0.185
Ir1 Ir 0.366 0.312 0.687
Rh1 Rh 0.360 0.000 0.318
```

Top 12 peaks for 5° ≤ 2θ ≤ 70°, low angle first:
hkl	Position (°2θ)	I/Imax
0 0 1	16.3	37
2 2 0	26.7	36
1 3 1	31.4	88
2 0 1	31.8	46
1 1 -2	32.0	47
0 4 1	33.3	80
3 1 -1	33.6	100
0 2 2	36.0	47
2 2 -2	36.7	42
2 4 0	36.9	45
1 5 -1	40.2	87
3 3 0	40.6	43

Record 4
For UIrRh4, a structure optimized by DFT (GGA-PBE) gives the theoretical powder XRD pattern in this record (λ = 1.5418 Å (Cu Kα)).
Lines closer than 0.1° are merged.

Crystal structure
```
data_UIrRh4
_symmetry_space_group_name_H-M 'F d d d'
_symmetry_Int_Tables_number 70
_cell_length_a 5.552
_cell_length_b 9.073
_cell_length_c 15.472
_cell_angle_alpha 90.00
_cell_angle_beta 90.00
_cell_angle_gamma 90.00
loop_
_symmetry_equiv_pos_as_xyz
'x,y,z'
'-x,-y,-z'
'-x+1/4,-y+1/4,z'
'x+1/4,y+1/4,-z'
'x,-y+1/4,-z+1/4'
'-x,y+1/4,z+1/4'
'-x+1/4,y,-z+1/4'
'x+1/4,-y,z+1/4'
'x,y+1/2,z+1/2'
'-x,-y+1/2,-z+1/2'
'-x+1/4,-y+3/4,z+1/2'
'x+1/4,y+3/4,-z+1/2'
'x,-y+3/4,-z+3/4'
'-x,y+3/4,z+3/4'
'-x+1/4,y+1/2,-z+3/4'
'x+1/4,-y+1/2,z+3/4'
'x+1/2,y,z+1/2'
'-x+1/2,-y,-z+1/2'
'-x+3/4,-y+1/4,z+1/2'
'x+3/4,y+1/4,-z+1/2'
'x+1/2,-y+1/4,-z+3/4'
'-x+1/2,y+1/4,z+3/4'
'-x+3/4,y,-z+3/4'
'x+3/4,-y,z+3/4'
'x+1/2,y+1/2,z'
'-x+1/2,-y+1/2,-z'
'-x+3/4,-y+3/4,z'
'x+3/4,y+3/4,-z'
'x+1/2,-y+3/4,-z+1/4'
'-x+1/2,y+3/4,z+1/4'
'-x+3/4,y+1/2,-z+1/4'
'x+3/4,-y+1/2,z+1/4'
loop_
_atom_site_label
_atom_site_type_symbol
_atom_site_fract_x
_atom_site_fract_y
_atom_site_fract_z
U1 U 0.125 0.125 0.125
Ir1 Ir 0.125 0.125 0.625
Rh1 Rh 0.119 0.375 0.032
```

Top 12 peaks for 5° ≤ 2θ ≤ 70°, low angle first:
hkl	Position (°2θ)	I/Imax
0 2 2	22.7	35
0 0 4	23.0	4
2 0 2	34.3	72
0 4 0	39.7	50
0 2 6	40.2	91
2 2 4	44.9	100
0 0 8	47.0	7
2 4 2	53.5	41
2 2 8	62.0	16
0 4 8	63.2	6
4 0 0	67.5	10
2 0 10	69.6	17

Record 5
For V5Ir4Rh, a structure optimized by DFT (GGA-PBE) gives the theoretical powder XRD pattern in this record (λ = 1.5418 Å (Cu Kα)).
Lines closer than 0.1° are merged.

Crystal structure
```
data_V5Ir4Rh
_symmetry_space_group_name_H-M 'P 4/m m m'
_symmetry_Int_Tables_number 123
_symmetry_space_group_name_Hall '-P 4 2'
_cell_length_a 2.753
_cell_length_b 2.753
_cell_length_c 18.322
_cell_angle_alpha 90.00
_cell_angle_beta 90.00
_cell_angle_gamma 90.00
loop_
_atom_site_label
_atom_site_type_symbol
_atom_site_fract_x
_atom_site_fract_y
_atom_site_fract_z
V1 V 0.000 0.000 0.000
V2 V 0.000 0.000 0.200
V3 V 0.000 0.000 0.400
Ir1 Ir 0.500 0.500 0.100
Ir2 Ir 0.500 0.500 0.301
Rh1 Rh 0.500 0.500 0.500
```

Top 12 peaks for 5° ≤ 2θ ≤ 70°, low angle first:
hkl	Position (°2θ)	I/Imax
0 0 2	9.7	4
0 0 3	14.5	2
0 0 4	19.4	1
0 0 5	24.3	29
1 0 0	32.5	28
1 0 1	32.9	1
1 0 5	41.0	100
1 1 0	46.7	34
0 0 10	49.8	14
1 1 5	53.3	15
1 0 10	60.7	10
2 0 0	68.1	11

Record 6
For VIr4Rh2, a structure optimized by DFT (GGA-PBE) gives the theoretical powder XRD pattern in this record (λ = 1.5418 Å (Cu Kα)).
Lines closer than 0.1° are merged.

Crystal structure
```
data_VIr4Rh2
_symmetry_space_group_name_H-M 'C m m m'
_symmetry_Int_Tables_number 65
_symmetry_space_group_name_Hall '-C 2 2'
_cell_length_a 2.719
_cell_length_b 20.587
_cell_length_c 3.794
_cell_angle_alpha 90.00
_cell_angle_beta 90.00
_cell_angle_gamma 90.00
loop_
_atom_site_label
_atom_site_type_symbol
_atom_site_fract_x
_atom_site_fract_y
_atom_site_fract_z
V1 V 0.000 0.000 0.000
Ir1 Ir 0.000 0.132 0.000
Ir2 Ir 0.000 0.435 0.500
Rh1 Rh 0.000 0.304 0.500
```

Top 12 peaks for 5° ≤ 2θ ≤ 70°, low angle first:
hkl	Position (°2θ)	I/Imax
0 2 0	8.6	23
0 4 0	17.2	36
0 4 1	29.2	29
0 6 1	35.3	17
1 1 1	41.1	100
0 8 1	42.4	83
1 3 1	43.0	15
1 7 0	45.4	57
0 0 2	48.0	32
1 9 0	52.3	12
1 7 2	68.2	34
2 0 0	69.1	11

Record 7
For V4Ir3Rh, a structure optimized by DFT (GGA-PBE) gives the theoretical powder XRD pattern in this record (λ = 1.5418 Å (Cu Kα)).
Lines closer than 0.1° are merged.

Crystal structure
```
data_V4Ir3Rh
_symmetry_space_group_name_H-M 'P m m a'
_symmetry_Int_Tables_number 51
_symmetry_space_group_name_Hall '-P 2a 2a'
_cell_length_a 8.718
_cell_length_b 5.508
_cell_length_c 4.626
_cell_angle_alpha 90.00
_cell_angle_beta 90.00
_cell_angle_gamma 90.00
loop_
_atom_site_label
_atom_site_type_symbol
_atom_site_fract_x
_atom_site_fract_y
_atom_site_fract_z
V1 V 0.000 0.249 0.000
V2 V 0.250 0.249 0.359
Ir1 Ir 0.000 0.000 0.500
Ir2 Ir 0.250 0.000 0.867
Ir3 Ir 0.250 0.500 0.871
Rh1 Rh 0.000 0.500 0.500
```

Top 12 peaks for 5° ≤ 2θ ≤ 70°, low angle first:
hkl	Position (°2θ)	I/Imax
1 0 1	21.8	23
2 0 1	28.1	47
0 2 0	32.5	27
1 2 1	39.5	33
1 0 2	40.3	27
4 0 0	41.4	43
2 2 1	43.5	100
2 0 2	44.3	18
3 2 1	49.7	17
3 0 2	50.4	14
4 2 0	53.6	13
0 2 3	69.9	15

Record 8
For V4Ir2Rh5, a structure optimized by DFT (GGA-PBE) gives the theoretical powder XRD pattern in this record (λ = 1.5418 Å (Cu Kα)).
Lines closer than 0.1° are merged.

Crystal structure
```
data_V4Ir2Rh5
_symmetry_space_group_name_H-M 'I m m m'
_symmetry_Int_Tables_number 71
_symmetry_space_group_name_Hall '-I 2 2'
_cell_length_a 2.711
_cell_length_b 6.168
_cell_length_c 22.638
_cell_angle_alpha 90.00
_cell_angle_beta 90.00
_cell_angle_gamma 90.00
loop_
_atom_site_label
_atom_site_type_symbol
_atom_site_fract_x
_atom_site_fract_y
_atom_site_fract_z
V1 V 0.000 0.000 0.241
V2 V 0.000 0.346 0.000
Ir1 Ir 0.000 0.000 0.098
Rh1 Rh 0.000 0.286 0.176
Rh2 Rh 0.000 0.500 0.500
```

Top 12 peaks for 5° ≤ 2θ ≤ 70°, low angle first:
hkl	Position (°2θ)	I/Imax
0 1 1	14.9	100
0 1 5	24.4	43
0 2 2	30.0	20
1 0 1	33.3	36
1 0 3	35.2	36
0 2 6	37.7	51
0 1 9	38.7	20
0 2 8	43.4	21
1 1 6	43.6	62
0 3 1	44.2	26
1 2 5	49.1	57
1 3 0	56.1	31

Record 9
For V4Ir7Rh6, a structure optimized by DFT (GGA-PBE) gives the theoretical powder XRD pattern in this record (λ = 1.5418 Å (Cu Kα)).
Lines closer than 0.1° are merged.

Crystal structure
```
data_V4Ir7Rh6
_symmetry_space_group_name_H-M 'I m -3 m'
_symmetry_Int_Tables_number 229
_symmetry_space_group_name_Hall '-I 4 2 3'
_cell_length_a 8.018
_cell_length_b 8.018
_cell_length_c 8.018
_cell_angle_alpha 90.00
_cell_angle_beta 90.00
_cell_angle_gamma 90.00
loop_
_atom_site_label
_atom_site_type_symbol
_atom_site_fract_x
_atom_site_fract_y
_atom_site_fract_z
V1 V 0.250 0.250 0.250
Ir1 Ir 0.000 0.000 0.000
Ir2 Ir 0.000 0.250 0.500
Rh1 Rh 0.000 0.000 0.296
```

Top 12 peaks for 5° ≤ 2θ ≤ 70°, low angle first:
hkl	Position (°2θ)	I/Imax
1 1 0	15.6	5
2 0 0	22.2	42
2 1 1	27.2	19
3 1 0	35.4	2
2 2 2	38.9	100
3 2 1	42.2	41
4 0 0	45.2	72
3 3 0	48.1	6
4 2 0	50.9	12
3 3 2	53.6	22
4 2 2	56.2	3
4 4 0	65.9	41

Record 10
For V3Ir2Rh3, a structure optimized by DFT (GGA-PBE) gives the theoretical powder XRD pattern in this record (λ = 1.5418 Å (Cu Kα)).
Lines closer than 0.1° are merged.

Crystal structure
```
data_V3Ir2Rh3
_symmetry_space_group_name_H-M 'I m m m'
_symmetry_Int_Tables_number 71
_symmetry_space_group_name_Hall '-I 2 2'
_cell_length_a 3.723
_cell_length_b 3.899
_cell_length_c 15.478
_cell_angle_alpha 90.00
_cell_angle_beta 90.00
_cell_angle_gamma 90.00
loop_
_atom_site_label
_atom_site_type_symbol
_atom_site_fract_x
_atom_site_fract_y
_atom_site_fract_z
V1 V 0.000 0.000 0.000
V2 V 0.000 0.500 0.133
Ir1 Ir 0.000 0.000 0.253
Rh1 Rh 0.000 0.000 0.500
Rh2 Rh 0.000 0.500 0.379
```

Top 12 peaks for 5° ≤ 2θ ≤ 70°, low angle first:
hkl	Position (°2θ)	I/Imax
0 0 2	11.4	34
0 0 4	23.0	8
1 0 1	24.6	6
1 1 0	33.3	6
1 1 2	35.3	10
0 1 5	37.1	4
1 1 4	40.8	100
0 2 0	46.6	17
0 0 8	47.0	16
2 0 0	48.9	19
0 2 8	68.3	10
2 2 0	69.9	10

Record 11
For Ir6RhW, a structure optimized by DFT (GGA-PBE) gives the theoretical powder XRD pattern in this record (λ = 1.5418 Å (Cu Kα)).
Lines closer than 0.1° are merged.

Crystal structure
```
data_Ir6RhW
_symmetry_space_group_name_H-M 'P -6 m 2'
_symmetry_Int_Tables_number 187
_symmetry_space_group_name_Hall 'P -6 2'
_cell_length_a 5.5321
_cell_length_b 5.5321
_cell_length_c 4.4280
_cell_angle_alpha 90.00
_cell_angle_beta 90.00
_cell_angle_gamma 120.00
loop_
_atom_site_label
_atom_site_type_symbol
_atom_site_fract_x
_atom_site_fract_y
_atom_site_fract_z
Ir1 Ir 0.0028 0.5014 0.0000
Ir2 Ir 0.1653 0.3306 0.5000
Rh1 Rh 0.0000 0.0000 0.0000
W1 W 0.6667 0.3333 0.5000
```

Top 9 peaks for 5° ≤ 2θ ≤ 70°, low angle first:
hkl	Position (°2θ)	I/Imax
1 0 0	18.5	1
1 0 1	27.4	2
1 1 0	32.4	1
2 0 0	37.5	24
1 1 1	38.4	1
0 0 2	40.8	26
2 0 1	42.9	100
2 0 2	56.6	15
2 2 0	67.8	17

Record 12
For Ir6RhW5, a structure optimized by DFT (GGA-PBE) gives the theoretical powder XRD pattern in this record (λ = 1.5418 Å (Cu Kα)).
Lines closer than 0.1° are merged.

Crystal structure
```
data_Ir6RhW5
_symmetry_space_group_name_H-M 'I m m m'
_symmetry_Int_Tables_number 71
_symmetry_space_group_name_Hall '-I 2 2'
_cell_length_a 3.929
_cell_length_b 7.833
_cell_length_c 11.749
_cell_angle_alpha 90.00
_cell_angle_beta 90.00
_cell_angle_gamma 90.00
loop_
_atom_site_label
_atom_site_type_symbol
_atom_site_fract_x
_atom_site_fract_y
_atom_site_fract_z
Ir1 Ir 0.000 0.247 0.000
Ir2 Ir 0.000 0.250 0.333
Rh1 Rh 0.000 0.000 0.500
W1 W 0.000 0.000 0.166
W2 W 0.000 0.500 0.168
W3 W 0.000 0.500 0.500
```

Top 6 peaks for 5° ≤ 2θ ≤ 70°, low angle first:
hkl	Position (°2θ)	I/Imax
0 1 1	13.6	1
1 2 3	39.8	100
2 0 0	46.2	16
0 4 0	46.4	33
2 4 0	67.5	21
0 4 6	67.7	11